Record 1
For Tb3Nd5Ho, a structure optimized by DFT (GGA-PBE) gives the simulated XRD peak list in this record (λ = 1.5418 Å (Cu Kα)).

The 8 most intense peaks (10 to 80 degrees two-theta), low angle first:
two_theta, I/Imax
29.22, 40
30.88, 61
31.28, 51
31.45, 48
31.72, 100
32.79, 25
47.31, 17
55.40, 19

Crystal structure
a b c (Å): 6.825 8.821 11.003
angles (deg): 106.27 96.94 101.41
Space group P-1 (No. 2)
Inequivalent atoms, fractional coordinates:
Tb 0.000 0.000 0.000 [1 per cell]
Tb 0.185 0.552 0.408 [2 per cell]
Tb 0.313 0.448 0.091 [2 per cell]
Tb 0.500 0.000 0.500 [1 per cell]
Nd 0.055 0.879 0.634 [2 per cell]
Nd 0.190 0.655 0.873 [2 per cell]
Nd 0.306 0.345 0.631 [2 per cell]
Nd 0.436 0.233 0.302 [2 per cell]
Nd 0.438 0.128 0.864 [2 per cell]
Ho 0.070 0.764 0.195 [2 per cell]

=====

Record 2
For TbNd4Ho10, a structure optimized by DFT (GGA-PBE) gives the simulated XRD peak list in this record (λ = 1.5418 Å (Cu Kα)).

The 8 most intense peaks (10 to 80 degrees two-theta), low angle first:
two_theta, I/Imax
27.43, 26
30.75, 26
31.78, 100
33.77, 34
34.71, 16
40.86, 32
45.56, 19
67.58, 17

Crystal structure
a b c (Å): 11.260 11.260 7.966
angles (deg): 90.00 90.00 90.00
Space group I4/mmm (No. 139)
Inequivalent atoms, fractional coordinates:
Tb 0.000 0.000 0.000 [2 per cell]
Nd 0.228 0.228 0.000 [8 per cell]
Ho 0.000 0.208 0.294 [16 per cell]
Ho 0.000 0.500 0.250 [4 per cell]

=====

Record 3
For Tb4Nd6Ho, a structure optimized by DFT (GGA-PBE) gives the simulated XRD peak list in this record (λ = 1.5418 Å (Cu Kα)).

The 8 most intense peaks (10 to 80 degrees two-theta), low angle first:
two_theta, I/Imax
27.90, 29
28.86, 91
30.56, 40
30.69, 100
33.98, 78
39.89, 46
49.96, 29
57.79, 28

Crystal structure
a b c (Å): 6.606 6.606 17.552
angles (deg): 90.00 90.00 90.00
Space group I-42m (No. 121)
Inequivalent atoms, fractional coordinates:
Tb 0.186 0.186 0.325 [8 per cell]
Nd 0.000 0.500 0.000 [4 per cell]
Nd 0.179 0.179 0.135 [8 per cell]
Ho 0.000 0.000 0.500 [2 per cell]

=====

Record 4
For Tb4Nd3Ho4, a structure optimized by DFT (GGA-PBE) gives the simulated XRD peak list in this record (λ = 1.5418 Å (Cu Kα)).

The 8 most intense peaks (10 to 80 degrees two-theta), low angle first:
two_theta, I/Imax
30.60, 27
30.85, 15
31.28, 37
32.02, 100
33.74, 16
46.67, 13
56.14, 20
62.11, 13

Crystal structure
a b c (Å): 10.626 5.719 12.050
angles (deg): 90.00 90.00 90.00
Space group Amm2 (No. 38)
Inequivalent atoms, fractional coordinates:
Tb 0.000 0.000 0.000 [2 per cell]
Tb 0.210 0.000 0.482 [4 per cell]
Tb 0.500 0.000 0.935 [2 per cell]
Nd 0.203 0.000 0.785 [4 per cell]
Nd 0.500 0.000 0.635 [2 per cell]
Ho 0.000 0.000 0.272 [2 per cell]
Ho 0.286 0.000 0.134 [4 per cell]
Ho 0.500 0.000 0.336 [2 per cell]

=====

Record 5
For Tb4Nd4Ho, a structure optimized by DFT (GGA-PBE) gives the simulated XRD peak list in this record (λ = 1.5418 Å (Cu Kα)).

The 8 most intense peaks (10 to 80 degrees two-theta), low angle first:
two_theta, I/Imax
30.33, 100
35.13, 34
35.25, 17
50.59, 36
60.08, 29
60.23, 14
63.10, 12
74.25, 4

Crystal structure
a b c (Å): 10.838 10.838 5.093
angles (deg): 90.00 90.00 90.00
Space group I4/mmm (No. 139)
Inequivalent atoms, fractional coordinates:
Tb 0.000 0.334 0.000 [8 per cell]
Nd 0.166 0.166 0.500 [8 per cell]
Ho 0.000 0.000 0.000 [2 per cell]

=====

Record 6
For Tb4NdHo6, a structure optimized by DFT (GGA-PBE) gives the simulated XRD peak list in this record (λ = 1.5418 Å (Cu Kα)).

The 8 most intense peaks (10 to 80 degrees two-theta), low angle first:
two_theta, I/Imax
30.45, 66
30.68, 47
31.36, 62
32.05, 100
33.38, 44
44.45, 34
56.26, 20
56.42, 21

Crystal structure
a b c (Å): 5.705 9.607 25.656
angles (deg): 90.00 90.00 90.00
Space group Cmcm (No. 63)
Inequivalent atoms, fractional coordinates:
Tb 0.000 0.029 0.121 [8 per cell]
Tb 0.000 0.343 0.042 [8 per cell]
Nd 0.000 0.314 0.750 [4 per cell]
Ho 0.000 0.000 0.000 [4 per cell]
Ho 0.000 0.020 0.250 [4 per cell]
Ho 0.000 0.311 0.603 [8 per cell]
Ho 0.000 0.357 0.181 [8 per cell]

=====

Which formula does entry 5 have? Tb4Nd4Ho